Diffraction record for SrEuDySbO6. The powder diffraction line list is computed, not measured: it uses a cell relaxed with PBE and Cu Kα (weighted mean of Kα1 and Kα2).
Lines closer than 0.1° are merged.

abc: 5.934 5.934 5.934
angles: 60.00 60.00 60.00
Fractional coordinates of all 10 atoms:
Sr 0.000 0.000 0.000
Eu 0.500 0.500 0.500
Dy 0.750 0.750 0.750
Sb 0.250 0.250 0.250
O 0.013 0.013 0.487
O 0.013 0.487 0.013
O 0.013 0.487 0.487
O 0.487 0.013 0.013
O 0.487 0.013 0.487
O 0.487 0.487 0.013

Top 10 peaks for 2θ = 10–90°, sorted by position:
| Position (°2θ) | I_rel |
| --- | --- |
| 18.31 | 4.4 |
| 21.17 | 3.1 |
| 30.12 | 100.0 |
| 35.48 | 3.2 |
| 43.12 | 29.6 |
| 53.49 | 40.4 |
| 62.62 | 18.4 |
| 71.04 | 17.8 |
| 79.06 | 6.1 |
| 86.86 | 21.7 |